No. 1
Diffraction record for LiCoPO4. The XRD peak list is computed, not measured: it uses a DFT-relaxed cell (GGA+U, the Materials Project) and Cu Kα, 1.54184 Å.
Lines closer than 0.1° are merged.

Largest 10 diffraction maxima, most intense first, 10° ≤ 2θ ≤ 80°:
2θ = 11.20°, intensity 1000; 2θ = 36.82°, intensity 150; 2θ = 26.03°, intensity 149; 2θ = 34.02°, intensity 90; 2θ = 25.83°, intensity 86; 2θ = 38.59°, intensity 79; 2θ = 37.29°, intensity 78; 2θ = 43.55°, intensity 76; 2θ = 50.98°, intensity 54; 2θ = 33.87°, intensity 51

Structure:
```
data_LiCoPO4
_cell_length_a 4.821
_cell_length_b 8.377
_cell_length_c 8.491
_cell_angle_alpha 80.18
_cell_angle_beta 89.86
_cell_angle_gamma 73.42
_space_group_name_H-M_alt 'P -1'
_space_group_IT_number 2
loop_
_space_group_symop_operation_xyz
'x,y,z'
'-x,-y,-z'
loop_
_atom_site_label
_atom_site_type_symbol
_atom_site_fract_x
_atom_site_fract_y
_atom_site_fract_z
_atom_site_occupancy
Li1 Li 0.073 0.350 0.358 1
Li2 Li 0.423 0.652 0.142 1
Co1 Co 0.239 0.020 0.083 1
Co2 Co 0.257 0.986 0.431 1
P1 P 0.138 0.226 0.713 1
P2 P 0.366 0.772 0.790 1
O1 O 0.003 0.158 0.872 1
O2 O 0.026 0.160 0.568 1
O3 O 0.027 0.842 0.764 1
O4 O 0.043 0.416 0.682 1
O5 O 0.459 0.582 0.822 1
O6 O 0.468 0.840 0.935 1
O7 O 0.477 0.155 0.730 1
O8 O 0.494 0.162 0.368 1
```

***

No. 2
Diffraction record for Mn2PO5. The XRD peak list is computed, not measured: it uses a DFT-relaxed cell (GGA+U, the Materials Project) and Cu Kα, 1.54184 Å.
Lines closer than 0.1° are merged.

Largest 10 diffraction maxima, most intense first, 10° ≤ 2θ ≤ 80°:
2θ = 28.81°, intensity 1000; 2θ = 32.35°, intensity 883; 2θ = 31.13°, intensity 751; 2θ = 27.16°, intensity 717; 2θ = 41.71°, intensity 549; 2θ = 25.69°, intensity 338; 2θ = 24.09°, intensity 338; 2θ = 55.05°, intensity 266; 2θ = 34.33°, intensity 258; 2θ = 15.39°, intensity 214

Structure:
```
data_Mn2PO5
_cell_length_a 13.356
_cell_length_b 6.667
_cell_length_c 9.845
_cell_angle_alpha 90.00
_cell_angle_beta 121.30
_cell_angle_gamma 90.00
_space_group_name_H-M_alt 'C 1 2/c 1'
_space_group_IT_number 15
loop_
_space_group_symop_operation_xyz
'x,y,z'
'-x,-y,-z'
'-x,y,-z+1/2'
'x,-y,z+1/2'
'x+1/2,y+1/2,z'
'-x+1/2,-y+1/2,-z'
'-x+1/2,y+1/2,-z+1/2'
'x+1/2,-y+1/2,z+1/2'
loop_
_atom_site_label
_atom_site_type_symbol
_atom_site_fract_x
_atom_site_fract_y
_atom_site_fract_z
_atom_site_occupancy
Mn1 Mn 0.040 0.244 0.478 1
Mn2 Mn 0.136 0.108 0.834 1
P1 P 0.182 0.413 0.309 1
O1 O 0.014 0.097 0.885 1
O2 O 0.086 0.480 0.142 1
O3 O 0.134 0.227 0.352 1
O4 O 0.205 0.142 0.692 1
O5 O 0.211 0.418 0.933 1
```

***

No. 3
Diffraction record for FeO2. The XRD peak list is computed, not measured: it uses a DFT-relaxed cell (GGA+U, the Materials Project) and Cu Kα, 1.54184 Å.
Lines closer than 0.1° are merged.

Largest 10 diffraction maxima, most intense first, 10° ≤ 2θ ≤ 80°:
2θ = 20.23°, intensity 1000; 2θ = 19.41°, intensity 921; 2θ = 36.09°, intensity 751; 2θ = 34.94°, intensity 471; 2θ = 33.44°, intensity 345; 2θ = 50.38°, intensity 335; 2θ = 63.09°, intensity 275; 2θ = 51.82°, intensity 267; 2θ = 36.56°, intensity 243; 2θ = 61.51°, intensity 212

Structure:
```
data_FeO2
_cell_length_a 8.777
_cell_length_b 2.967
_cell_length_c 10.718
_cell_angle_alpha 90.00
_cell_angle_beta 90.00
_cell_angle_gamma 90.00
_space_group_name_H-M_alt 'P n m a'
_space_group_IT_number 62
loop_
_space_group_symop_operation_xyz
'x,y,z'
'-x,-y,-z'
'-x+1/2,-y,z+1/2'
'x+1/2,y,-z+1/2'
'x+1/2,-y+1/2,-z+1/2'
'-x+1/2,y+1/2,z+1/2'
'-x,y+1/2,-z'
'x,-y+1/2,z'
loop_
_atom_site_label
_atom_site_type_symbol
_atom_site_fract_x
_atom_site_fract_y
_atom_site_fract_z
_atom_site_occupancy
Fe1 Fe 0.052 0.250 0.117 1
Fe2 Fe 0.086 0.250 0.604 1
O1 O 0.034 0.750 0.713 1
O2 O 0.080 0.250 0.930 1
O3 O 0.119 0.750 0.488 1
O4 O 0.192 0.750 0.146 1
```

***

No. 4
Diffraction record for MgFe3P3O13. The XRD peak list is computed, not measured: it uses a DFT-relaxed cell (GGA+U, the Materials Project) and Cu Kα, 1.54184 Å.
Lines closer than 0.1° are merged.

Largest 10 diffraction maxima, most intense first, 10° ≤ 2θ ≤ 80°:
2θ = 19.55°, intensity 1000; 2θ = 31.31°, intensity 632; 2θ = 28.15°, intensity 626; 2θ = 26.78°, intensity 602; 2θ = 32.52°, intensity 495; 2θ = 23.65°, intensity 361; 2θ = 23.09°, intensity 328; 2θ = 37.10°, intensity 322; 2θ = 39.28°, intensity 292; 2θ = 16.57°, intensity 290

Structure:
```
data_MgFe3P3O13
_cell_length_a 7.646
_cell_length_b 6.341
_cell_length_c 10.125
_cell_angle_alpha 90.00
_cell_angle_beta 100.21
_cell_angle_gamma 90.00
_space_group_name_H-M_alt 'P 1 21/m 1'
_space_group_IT_number 11
loop_
_space_group_symop_operation_xyz
'x,y,z'
'-x,-y,-z'
'-x,y+1/2,-z'
'x,-y+1/2,z'
loop_
_atom_site_label
_atom_site_type_symbol
_atom_site_fract_x
_atom_site_fract_y
_atom_site_fract_z
_atom_site_occupancy
Mg1 Mg 0.126 0.250 0.178 1
Fe1 Fe 0.147 0.250 0.792 1
Fe2 Fe 0.283 0.750 0.433 1
Fe3 Fe 0.500 0.000 0.000 1
P1 P 0.180 0.750 0.110 1
P2 P 0.227 0.750 0.760 1
P3 P 0.284 0.250 0.501 1
O1 O 0.006 0.250 0.979 1
O2 O 0.107 0.563 0.786 1
O3 O 0.129 0.750 0.252 1
O4 O 0.154 0.250 0.601 1
O5 O 0.248 0.060 0.403 1
O6 O 0.278 0.750 0.622 1
O7 O 0.285 0.542 0.098 1
O8 O 0.378 0.250 0.904 1
O9 O 0.401 0.750 0.869 1
O10 O 0.474 0.250 0.584 1
```

***

No. 5
Diffraction record for BaTbFe4O7. The XRD peak list is computed, not measured: it uses a DFT-relaxed cell (GGA+U, the Materials Project) and Cu Kα, 1.54184 Å.
Lines closer than 0.1° are merged.

Largest 10 diffraction maxima, most intense first, 10° ≤ 2θ ≤ 80°:
2θ = 32.64°, intensity 1000; 2θ = 29.69°, intensity 715; 2θ = 27.98°, intensity 533; 2θ = 33.50°, intensity 457; 2θ = 54.00°, intensity 364; 2θ = 52.53°, intensity 285; 2θ = 57.82°, intensity 280; 2θ = 50.58°, intensity 198; 2θ = 46.66°, intensity 138; 2θ = 61.91°, intensity 135

Structure:
```
data_BaTbFe4O7
_cell_length_a 6.3785
_cell_length_b 6.3785
_cell_length_c 10.7655
_cell_angle_alpha 90.00
_cell_angle_beta 90.00
_cell_angle_gamma 120.00
_space_group_name_H-M_alt 'P 63 m c'
_space_group_IT_number 186
_space_group_name_Hall 'P 6c -2c'
loop_
_atom_site_label
_atom_site_type_symbol
_atom_site_fract_x
_atom_site_fract_y
_atom_site_fract_z
_atom_site_occupancy
Ba1 Ba 0.3333 0.6667 0.0000 1
Tb1 Tb 0.3333 0.6667 0.4064 1
Fe1 Fe 0.0000 0.0000 0.4517 1
Fe2 Fe 0.1889 0.3777 0.7046 1
O1 O 0.0000 0.0000 0.2737 1
O2 O 0.0153 0.5077 0.8025 1
O3 O 0.1570 0.3140 0.5255 1
```

***

No. 6
Diffraction record for SbP6W3O24. The XRD peak list is computed, not measured: it uses a DFT-relaxed cell (GGA+U, the Materials Project) and Cu Kα, 1.54184 Å.
Lines closer than 0.1° are merged.

Largest 10 diffraction maxima, most intense first, 10° ≤ 2θ ≤ 80°:
2θ = 19.63°, intensity 1000; 2θ = 20.05°, intensity 853; 2θ = 28.20°, intensity 546; 2θ = 31.34°, intensity 427; 2θ = 34.85°, intensity 364; 2θ = 13.99°, intensity 335; 2θ = 35.09°, intensity 292; 2θ = 23.35°, intensity 277; 2θ = 51.57°, intensity 225; 2θ = 45.61°, intensity 203

Structure:
```
data_SbP6W3O24
_cell_length_a 8.8583
_cell_length_b 8.8583
_cell_length_c 22.3920
_cell_angle_alpha 90.00
_cell_angle_beta 90.00
_cell_angle_gamma 120.00
_space_group_name_H-M_alt 'R 3'
_space_group_IT_number 146
_space_group_name_Hall 'R 3'
loop_
_atom_site_label
_atom_site_type_symbol
_atom_site_fract_x
_atom_site_fract_y
_atom_site_fract_z
_atom_site_occupancy
Sb1 Sb 0.0000 0.0000 0.0000 1
P1 P 0.0039 0.2922 0.8917 1
P2 P 0.0113 0.7197 0.3910 1
W1 W 0.0000 0.0000 0.2851 1
W2 W 0.0000 0.0000 0.4983 1
W3 W 0.0000 0.0000 0.7858 1
O1 O 0.0041 0.8193 0.4449 1
O2 O 0.0270 0.8204 0.0558 1
O3 O 0.0323 0.2024 0.8361 1
O4 O 0.0336 0.8263 0.3328 1
O5 O 0.1423 0.4728 0.2141 1
O6 O 0.1552 0.4460 0.6144 1
O7 O 0.1760 0.4687 0.8998 1
O8 O 0.1756 0.7007 0.3979 1
```

***

No. 7
Diffraction record for MgV8O8F8. The XRD peak list is computed, not measured: it uses a DFT-relaxed cell (GGA+U, the Materials Project) and Cu Kα, 1.54184 Å.
Lines closer than 0.1° are merged.

Largest 10 diffraction maxima, most intense first, 10° ≤ 2θ ≤ 80°:
2θ = 25.56°, intensity 1000; 2θ = 27.22°, intensity 783; 2θ = 33.31°, intensity 589; 2θ = 37.78°, intensity 283; 2θ = 57.77°, intensity 274; 2θ = 34.79°, intensity 266; 2θ = 52.56°, intensity 258; 2θ = 63.07°, intensity 225; 2θ = 33.69°, intensity 224; 2θ = 35.97°, intensity 204

Structure:
```
data_MgV8O8F8
_cell_length_a 5.004
_cell_length_b 5.679
_cell_length_c 10.486
_cell_angle_alpha 100.14
_cell_angle_beta 91.61
_cell_angle_gamma 92.83
_space_group_name_H-M_alt 'P 1'
_space_group_IT_number 1
loop_
_space_group_symop_operation_xyz
'x,y,z'
loop_
_atom_site_label
_atom_site_type_symbol
_atom_site_fract_x
_atom_site_fract_y
_atom_site_fract_z
_atom_site_occupancy
Mg1 Mg 0.000 0.000 0.000 1
V1 V 0.009 0.946 0.642 1
V2 V 0.469 0.707 0.415 1
V3 V 0.481 0.922 0.149 1
V4 V 0.503 0.448 0.640 1
V5 V 0.517 0.146 0.869 1
V6 V 0.962 0.500 0.865 1
V7 V 0.972 0.183 0.385 1
V8 V 0.981 0.464 0.162 1
O1 O 0.148 0.723 0.075 1
O2 O 0.166 0.465 0.326 1
O3 O 0.176 0.987 0.826 1
O4 O 0.307 0.735 0.576 1
O5 O 0.740 0.197 0.729 1
O6 O 0.802 0.924 0.468 1
O7 O 0.803 0.127 0.207 1
O8 O 0.814 0.309 0.993 1
F1 F 0.178 0.228 0.565 1
F2 F 0.301 0.976 0.326 1
F3 F 0.315 0.203 0.078 1
F4 F 0.358 0.455 0.827 1
F5 F 0.638 0.849 0.963 1
F6 F 0.644 0.647 0.222 1
F7 F 0.678 0.412 0.457 1
F8 F 0.825 0.674 0.713 1
```